For KZn2P2HO8, a structure optimized by DFT (GGA-PBE) gives the simulated XRD peak list in this record (Cu Ka).
Kinematic intensities with the Lorentz-polarization factor, no thermal factor.

Cell and atoms:
```
28
Lattice="5.289 0.000 0.000 -2.632 8.529 0.000 -1.927 -1.771 9.199" Properties=species:S:1:pos:R:3 pbc="T T T"
K -0.914 2.033 2.950
K 1.644 4.725 6.248
Zn -1.565 7.359 1.002
Zn -1.009 1.941 7.020
Zn 1.739 4.817 2.179
Zn 2.295 -0.601 8.197
P -0.905 5.691 3.638
P 1.435 1.989 0.501
P -0.705 4.769 8.698
P 1.635 1.067 5.560
H -1.115 6.738 5.597
H 1.845 0.020 3.601
O -1.785 4.594 3.029
O -1.216 0.420 8.298
O 0.755 0.744 1.126
O -2.227 4.927 8.881
O -1.383 5.871 5.156
O -1.099 7.054 2.920
O 0.166 1.518 5.500
O 1.105 3.175 1.414
O -0.375 3.583 7.784
O 0.564 5.241 3.698
O 1.829 -0.295 6.279
O 2.113 0.887 4.042
O 2.957 1.831 0.317
O -0.025 6.014 8.073
O 1.946 6.338 0.900
O 2.515 2.164 6.170
```

Most intense lines, 10 to 90 degrees two-theta, in order of rising 2θ:
- 2θ = 15.6°, I 89, hkl 0 1 1
- 2θ = 19.0°, I 72, hkl -1 1 1
- 2θ = 21.2°, I 54, hkl 0 2 0
- 2θ = 23.0°, I 43, hkl 1 -2 0
- 2θ = 23.2°, I 44, hkl 1 1 -1
- 2θ = 28.2°, I 100, hkl 1 -1 2
- 2θ = 29.8°, I 47, hkl -1 2 2
- 2θ = 31.7°, I 33, hkl 0 3 -1
- 2θ = 32.4°, I 62, hkl 1 2 0
- 2θ = 34.0°, I 51, hkl -2 1 1